1.
Calculated PXRD pattern of TbPr5Al2 for Cu Kα X-rays, from a structure optimized by DFT (PBE).
Lines closer than 0.1° are merged.

The 10 most intense peaks (2θ from 5° to 70°), sorted by position:
8.7 deg, rel. 23; 22.9 deg, rel. 19; 25.8 deg, rel. 57; 29.0 deg, rel. 17; 32.6 deg, rel. 58; 32.7 deg, rel. 100; 42.1 deg, rel. 15; 46.9 deg, rel. 21; 56.6 deg, rel. 31; 58.3 deg, rel. 41

Structure:
Unit cell a=5.4753 b=5.4753 c=20.2142 alpha=90.00 beta=90.00 gamma=120.00
Positions (direct):
Tb1 0.3333 0.6667 0.2500
Tb2 0.6667 0.3333 0.7500
Pr1 0.0000 0.0000 0.1546
Pr2 0.0000 0.0000 0.3454
Pr3 0.0000 0.0000 0.6546
Pr4 0.0000 0.0000 0.8454
Pr5 0.3333 0.6667 0.5551
Pr6 0.3333 0.6667 0.7500
Pr7 0.3333 0.6667 0.9449
Pr8 0.6667 0.3333 0.0551
Pr9 0.6667 0.3333 0.2500
Pr10 0.6667 0.3333 0.4449
Al1 0.3333 0.6667 0.1012
Al2 0.3333 0.6667 0.3988
Al3 0.6667 0.3333 0.6012
Al4 0.6667 0.3333 0.8988

2.
Calculated PXRD pattern of Tb5PrAl6 for Cu Kα X-rays, from a structure optimized by DFT (PBE).
Lines closer than 0.1° are merged.

The 10 most intense peaks (2θ from 5° to 70°), sorted by position:
24.4 deg, rel. 24; 24.5 deg, rel. 48; 34.8 deg, rel. 100; 34.9 deg, rel. 20; 43.0 deg, rel. 22; 50.2 deg, rel. 14; 56.4 deg, rel. 10; 56.6 deg, rel. 20; 62.4 deg, rel. 15; 62.6 deg, rel. 29

Structure:
Unit cell a=8.1285 b=8.1285 c=7.3036 alpha=90.00 beta=90.00 gamma=143.16
Positions (direct):
Tb1 0.0000 0.0000 0.0000
Tb2 0.3324 0.6676 0.5000
Tb3 0.3360 0.6640 0.0000
Tb4 0.6640 0.3360 0.0000
Tb5 0.6676 0.3324 0.5000
Pr1 0.0000 0.0000 0.5000
Al1 0.1697 0.8303 0.2441
Al2 0.1697 0.8303 0.7559
Al3 0.5000 0.5000 0.2456
Al4 0.5000 0.5000 0.7544
Al5 0.8303 0.1697 0.2441
Al6 0.8303 0.1697 0.7559